Theoretical powder XRD pattern
Compound: Pa2Ga4Ni3Pd
Radiation: Cu Ka
Structure: a crystal structure in Alexandria, relaxed with PBE
Kinematic intensities with the Lorentz-polarization factor, no thermal factor.

Structure:
abc: 3.980 3.980 10.545
angles: 90.00 90.00 90.00
Sites, in units of the cell vectors:
Pa  0.000  0.500  0.239
Pa  0.500  0.000  0.761
Ga  0.000  0.000  0.000
Ga  0.000  0.500  0.639
Ga  0.500  0.000  0.361
Ga  0.500  0.500  0.000
Ni  0.000  0.500  0.862
Ni  0.500  0.000  0.138
Ni  0.500  0.500  0.500
Pd  0.000  0.000  0.500

Largest 10 diffraction maxima, by angle, 10 to 90 degrees two-theta:
- 2θ = 23.9°, I = 24
- 2θ = 31.8°, I = 18
- 2θ = 34.0°, I = 71
- 2θ = 36.2°, I = 100
- 2θ = 45.6°, I = 43
- 2θ = 48.9°, I = 32
- 2θ = 58.1°, I = 36
- 2θ = 66.4°, I = 17
- 2θ = 69.0°, I = 22
- 2θ = 78.1°, I = 21

Theoretical powder XRD pattern
Compound: Th2PaGa2Ni7
Radiation: Cu Ka
Structure: a crystal structure in Alexandria, relaxed with PBE
Kinematic intensities with the Lorentz-polarization factor, no thermal factor.

Structure:
abc: 3.915 3.915 13.269
angles: 95.03 95.03 88.45
Sites, in units of the cell vectors:
Th  0.105  0.105  0.364
Th  0.895  0.895  0.636
Pa  0.000  0.000  0.000
Ga  0.428  0.428  0.755
Ga  0.572  0.572  0.245
Ni  0.041  0.540  0.139
Ni  0.380  0.380  0.569
Ni  0.460  0.959  0.861
Ni  0.500  0.500  0.000
Ni  0.540  0.041  0.139
Ni  0.620  0.620  0.431
Ni  0.959  0.460  0.861

Largest 10 diffraction maxima, by angle, 10 to 90 degrees two-theta:
- 2θ = 20.2°, I = 44
- 2θ = 27.6°, I = 42
- 2θ = 29.3°, I = 94
- 2θ = 32.0°, I = 48
- 2θ = 32.8°, I = 52
- 2θ = 36.0°, I = 40
- 2θ = 36.5°, I = 53
- 2θ = 38.8°, I = 83
- 2θ = 45.7°, I = 48
- 2θ = 46.5°, I = 100

Theoretical powder XRD pattern
Compound: PaZnGaNi2
Radiation: Cu Ka
Structure: a crystal structure in Alexandria, relaxed with PBE
Kinematic intensities with the Lorentz-polarization factor, no thermal factor.

Structure:
abc: 6.686 6.686 5.167
angles: 90.00 90.00 134.20
Sites, in units of the cell vectors:
Pa  0.250  0.750  0.764
Pa  0.750  0.250  0.236
Zn  0.250  0.250  0.500
Zn  0.750  0.750  0.500
Ga  0.000  0.000  0.000
Ga  0.500  0.500  0.000
Ni  0.154  0.846  0.284
Ni  0.346  0.654  0.284
Ni  0.654  0.346  0.716
Ni  0.846  0.154  0.716

Largest 10 diffraction maxima, by angle, 10 to 90 degrees two-theta:
- 2θ = 14.4°, I = 42
- 2θ = 25.3°, I = 40
- 2θ = 29.0°, I = 39
- 2θ = 32.7°, I = 100
- 2θ = 34.5°, I = 43
- 2θ = 37.5°, I = 39
- 2θ = 37.8°, I = 88
- 2θ = 44.3°, I = 83
- 2θ = 49.7°, I = 27
- 2θ = 52.1°, I = 30

Theoretical powder XRD pattern
Compound: PaZnGaNi
Radiation: Cu Ka
Structure: a crystal structure in Alexandria, relaxed with PBE
Kinematic intensities with the Lorentz-polarization factor, no thermal factor.

Structure:
abc: 6.964 4.051 6.105
angles: 90.00 112.44 90.00
Sites, in units of the cell vectors:
Pa  0.000  0.000  0.000
Pa  0.500  0.500  0.000
Zn  0.451  0.000  0.351
Zn  0.951  0.500  0.351
Ga  0.199  0.000  0.600
Ga  0.699  0.500  0.600
Ni  0.092  0.500  0.774
Ni  0.592  0.000  0.774

Largest 10 diffraction maxima, by angle, 10 to 90 degrees two-theta:
- 2θ = 15.7°, I = 56
- 2θ = 26.0°, I = 32
- 2θ = 27.6°, I = 100
- 2θ = 27.7°, I = 50
- 2θ = 33.2°, I = 83
- 2θ = 36.9°, I = 94
- 2θ = 37.1°, I = 46
- 2θ = 44.7°, I = 39
- 2θ = 45.0°, I = 77
- 2θ = 45.6°, I = 50

Theoretical powder XRD pattern
Compound: GaNiPb
Radiation: Cu Ka
Structure: a crystal structure in Alexandria, relaxed with PBE
Kinematic intensities with the Lorentz-polarization factor, no thermal factor.

Structure:
abc: 11.349 10.638 5.274
angles: 83.76 68.72 27.52
Sites, in units of the cell vectors:
Ga  0.016  0.016  0.234
Ga  0.234  0.234  0.016
Ga  0.766  0.766  0.984
Ga  0.984  0.984  0.766
Ni  0.261  0.261  0.489
Ni  0.489  0.489  0.261
Ni  0.511  0.511  0.739
Ni  0.739  0.739  0.511
Pb  0.213  0.537  0.213
Pb  0.463  0.787  0.463
Pb  0.537  0.213  0.537
Pb  0.787  0.463  0.787

Largest 10 diffraction maxima, by angle, 10 to 90 degrees two-theta:
- 2θ = 20.8°, I = 90
- 2θ = 24.1°, I = 49
- 2θ = 32.3°, I = 54
- 2θ = 34.4°, I = 81
- 2θ = 34.7°, I = 86
- 2θ = 36.6°, I = 65
- 2θ = 37.4°, I = 75
- 2θ = 40.6°, I = 43
- 2θ = 42.5°, I = 65
- 2θ = 45.1°, I = 100

Theoretical powder XRD pattern
Compound: Ga2Ni4Pd
Radiation: Cu Ka
Structure: a crystal structure in Alexandria, relaxed with PBE
Kinematic intensities with the Lorentz-polarization factor, no thermal factor.

Structure:
abc: 6.828 6.828 3.920
angles: 90.00 90.00 90.00
Sites, in units of the cell vectors:
Ga  0.200  0.200  0.000
Ga  0.300  0.700  0.500
Ga  0.700  0.300  0.500
Ga  0.800  0.800  0.000
Ni  0.110  0.632  0.000
Ni  0.132  0.390  0.500
Ni  0.368  0.890  0.000
Ni  0.390  0.132  0.500
Ni  0.610  0.868  0.500
Ni  0.632  0.110  0.000
Ni  0.868  0.610  0.500
Ni  0.890  0.368  0.000
Pd  0.000  0.000  0.500
Pd  0.500  0.500  0.000

Largest 10 diffraction maxima, by angle, 10 to 90 degrees two-theta:
- 2θ = 37.3°, I = 100
- 2θ = 41.8°, I = 35
- 2θ = 44.1°, I = 73
- 2θ = 46.1°, I = 24
- 2θ = 46.3°, I = 45
- 2θ = 48.1°, I = 57
- 2θ = 64.2°, I = 18
- 2θ = 70.3°, I = 15
- 2θ = 79.4°, I = 19
- 2θ = 88.4°, I = 17

Theoretical powder XRD pattern
Compound: Ga8Ni3Pd2
Radiation: Cu Ka
Structure: a crystal structure in Alexandria, relaxed with PBE
Kinematic intensities with the Lorentz-polarization factor, no thermal factor.

Structure:
abc: 7.464 4.022 7.468
angles: 90.00 115.04 90.00
Sites, in units of the cell vectors:
Ga  0.110  0.000  0.391
Ga  0.127  0.500  0.865
Ga  0.363  0.500  0.628
Ga  0.372  0.000  0.127
Ga  0.628  0.000  0.873
Ga  0.637  0.500  0.372
Ga  0.873  0.500  0.135
Ga  0.890  0.000  0.609
Ni  0.264  0.000  0.765
Ni  0.500  0.500  0.000
Ni  0.736  0.000  0.235
Pd  0.246  0.500  0.256
Pd  0.754  0.500  0.744

Largest 10 diffraction maxima, by angle, 10 to 90 degrees two-theta:
- 2θ = 26.3°, I = 31
- 2θ = 42.9°, I = 100
- 2θ = 45.1°, I = 22
- 2θ = 45.2°, I = 22
- 2θ = 58.6°, I = 9
- 2θ = 65.8°, I = 14
- 2θ = 76.9°, I = 8
- 2θ = 77.0°, I = 7
- 2θ = 81.7°, I = 14
- 2θ = 81.9°, I = 14

Theoretical powder XRD pattern
Compound: TbGa3NiPd
Radiation: Cu Ka
Structure: a crystal structure in Alexandria, relaxed with PBE
Kinematic intensities with the Lorentz-polarization factor, no thermal factor.

Structure:
abc: 6.847 6.847 5.745
angles: 90.00 90.00 127.94
Sites, in units of the cell vectors:
Tb  0.224  0.776  0.750
Tb  0.776  0.224  0.250
Ga  0.211  0.211  0.000
Ga  0.211  0.211  0.500
Ga  0.358  0.642  0.250
Ga  0.642  0.358  0.750
Ga  0.789  0.789  0.000
Ga  0.789  0.789  0.500
Ni  0.435  0.565  0.750
Ni  0.565  0.435  0.250
Pd  0.153  0.847  0.250
Pd  0.847  0.153  0.750

Largest 10 diffraction maxima, by angle, 10 to 90 degrees two-theta:
- 2θ = 29.7°, I = 38
- 2θ = 30.6°, I = 35
- 2θ = 31.1°, I = 30
- 2θ = 33.2°, I = 62
- 2θ = 34.5°, I = 63
- 2θ = 41.2°, I = 24
- 2θ = 42.7°, I = 88
- 2θ = 43.6°, I = 100
- 2θ = 61.9°, I = 29
- 2θ = 63.5°, I = 26

Theoretical powder XRD pattern
Compound: Th2Ga4Ni3Pd
Radiation: Cu Ka
Structure: a crystal structure in Alexandria, relaxed with PBE
Kinematic intensities with the Lorentz-polarization factor, no thermal factor.

Structure:
abc: 4.180 4.180 10.126
angles: 90.00 90.00 90.00
Sites, in units of the cell vectors:
Th  0.000  0.500  0.243
Th  0.500  0.000  0.757
Ga  0.000  0.000  0.000
Ga  0.000  0.500  0.634
Ga  0.500  0.000  0.366
Ga  0.500  0.500  0.000
Ni  0.000  0.500  0.869
Ni  0.500  0.000  0.131
Ni  0.500  0.500  0.500
Pd  0.000  0.000  0.500

Largest 10 diffraction maxima, by angle, 10 to 90 degrees two-theta:
- 2θ = 23.0°, I = 26
- 2θ = 30.2°, I = 19
- 2θ = 34.1°, I = 64
- 2θ = 35.2°, I = 100
- 2θ = 43.3°, I = 49
- 2θ = 50.0°, I = 27
- 2θ = 56.2°, I = 31
- 2θ = 62.9°, I = 16
- 2θ = 68.3°, I = 21
- 2θ = 74.1°, I = 23

Theoretical powder XRD pattern
Compound: YGa2NiPd
Radiation: Cu Ka
Structure: a crystal structure in Alexandria, relaxed with PBE
Kinematic intensities with the Lorentz-polarization factor, no thermal factor.

Structure:
abc: 4.685 4.685 5.341
angles: 90.00 90.00 90.00
Sites, in units of the cell vectors:
Y  0.000  0.000  0.000
Ga  0.000  0.500  0.500
Ga  0.500  0.000  0.500
Ni  0.500  0.500  0.000
Pd  0.000  0.000  0.500

Largest 10 diffraction maxima, by angle, 10 to 90 degrees two-theta:
- 2θ = 16.6°, I = 23
- 2θ = 18.9°, I = 66
- 2θ = 25.3°, I = 25
- 2θ = 26.9°, I = 22
- 2θ = 31.8°, I = 76
- 2θ = 33.6°, I = 73
- 2θ = 38.4°, I = 100
- 2θ = 51.9°, I = 82
- 2θ = 55.5°, I = 33
- 2θ = 66.4°, I = 38

Theoretical powder XRD pattern
Compound: Pm3GaNi3
Radiation: Cu Ka
Structure: a crystal structure in Alexandria, relaxed with PBE
Kinematic intensities with the Lorentz-polarization factor, no thermal factor.

Structure:
abc: 5.501 5.501 13.439
angles: 90.00 90.00 135.72
Sites, in units of the cell vectors:
Pm  0.000  0.000  0.250
Pm  0.000  0.000  0.750
Pm  0.283  0.717  0.604
Pm  0.283  0.717  0.896
Pm  0.717  0.283  0.104
Pm  0.717  0.283  0.396
Ga  0.000  0.000  0.000
Ga  0.000  0.000  0.500
Ni  0.300  0.700  0.250
Ni  0.427  0.573  0.089
Ni  0.427  0.573  0.411
Ni  0.573  0.427  0.589
Ni  0.573  0.427  0.911
Ni  0.700  0.300  0.750

Largest 10 diffraction maxima, by angle, 10 to 90 degrees two-theta:
- 2θ = 30.7°, I = 99
- 2θ = 31.9°, I = 74
- 2θ = 34.1°, I = 91
- 2θ = 35.2°, I = 38
- 2θ = 35.5°, I = 96
- 2θ = 39.8°, I = 100
- 2θ = 40.3°, I = 37
- 2θ = 40.7°, I = 47
- 2θ = 43.7°, I = 74
- 2θ = 57.3°, I = 42

Theoretical powder XRD pattern
Compound: Pm5Ga2Ni2
Radiation: Cu Ka
Structure: a crystal structure in Alexandria, relaxed with PBE
Kinematic intensities with the Lorentz-polarization factor, no thermal factor.

Structure:
abc: 8.400 8.400 8.508
angles: 90.00 90.00 49.19
Sites, in units of the cell vectors:
Pm  0.000  0.000  0.000
Pm  0.026  0.713  0.678
Pm  0.213  0.526  0.178
Pm  0.287  0.974  0.678
Pm  0.474  0.787  0.178
Pm  0.500  0.500  0.500
Pm  0.526  0.213  0.822
Pm  0.713  0.026  0.322
Pm  0.787  0.474  0.822
Pm  0.974  0.287  0.322
Ga  0.207  0.207  0.000
Ga  0.293  0.293  0.500
Ga  0.707  0.707  0.500
Ga  0.793  0.793  0.000
Ni  0.118  0.882  0.394
Ni  0.382  0.618  0.894
Ni  0.618  0.382  0.106
Ni  0.882  0.118  0.606

Largest 10 diffraction maxima, by angle, 10 to 90 degrees two-theta:
- 2θ = 27.6°, I = 54
- 2θ = 30.2°, I = 76
- 2θ = 31.5°, I = 86
- 2θ = 33.2°, I = 39
- 2θ = 33.7°, I = 34
- 2θ = 34.6°, I = 71
- 2θ = 34.8°, I = 37
- 2θ = 36.4°, I = 100
- 2θ = 38.5°, I = 33
- 2θ = 40.6°, I = 41

Theoretical powder XRD pattern
Compound: Pm2GaNi4
Radiation: Cu Ka
Structure: a crystal structure in Alexandria, relaxed with PBE
Kinematic intensities with the Lorentz-polarization factor, no thermal factor.

Structure:
abc: 4.392 4.392 14.335
angles: 90.00 90.00 90.00
Sites, in units of the cell vectors:
Pm  0.000  0.000  0.144
Pm  0.000  0.000  0.856
Pm  0.500  0.500  0.356
Pm  0.500  0.500  0.644
Ga  0.000  0.000  0.500
Ga  0.500  0.500  0.000
Ni  0.000  0.000  0.340
Ni  0.000  0.000  0.660
Ni  0.000  0.500  0.000
Ni  0.000  0.500  0.500
Ni  0.500  0.000  0.000
Ni  0.500  0.000  0.500
Ni  0.500  0.500  0.160
Ni  0.500  0.500  0.840

Largest 10 diffraction maxima, by angle, 10 to 90 degrees two-theta:
- 2θ = 27.6°, I = 65
- 2θ = 28.7°, I = 90
- 2θ = 31.4°, I = 35
- 2θ = 37.6°, I = 44
- 2θ = 38.4°, I = 100
- 2θ = 41.1°, I = 100
- 2θ = 57.0°, I = 51
- 2θ = 59.5°, I = 34
- 2θ = 67.4°, I = 30
- 2θ = 72.6°, I = 40